YErCr2O8: calculated powder XRD pattern (Cu Ka), based on DFT lattice parameters and positions (GGA+U).

Top 12 peaks for 2θ = 5–70°, by angle:
- 18.76°, I = 31, (1 0 1)
- 24.76°, I = 100, (2 0 0)
- 31.25°, I = 10, (2 1 1)
- 33.54°, I = 66, (1 1 2)
- 35.31°, I = 19, (2 2 0)
- 40.27°, I = 13, (3 0 1)
- 47.86°, I = 11, (3 2 1)
- 49.49°, I = 57, (3 1 2)
- 50.79°, I = 16, (4 0 0)
- 57.30°, I = 13, (4 2 0)
- 62.25°, I = 17, (3 3 2)
- 64.80°, I = 11, (2 0 4)

Cell lengths 7.191, 7.191, 6.280 Å; angles 90.00, 90.00, 90.00 degrees
Space group I-4m2 (No. 119)
Asymmetric unit:
1 Y 0.000 0.000 0.000 (multiplicity 2)
2 Er 0.000 0.500 0.750 (multiplicity 2)
3 Cr 0.000 0.000 0.500 (multiplicity 2)
4 Cr 0.000 0.500 0.250 (multiplicity 2)
5 O 0.000 0.186 0.674 (multiplicity 8)
6 O 0.000 0.317 0.074 (multiplicity 8)